No. 1
Y5Tm11O24: calculated powder XRD pattern (a wavelength of 1.5418 Å), based on the GGA-PBE geometry in the Materials Project.
No peak broadening, texture or thermal motion is included.

Largest 10 diffraction maxima, sorted by position, 15° ≤ 2θ ≤ 90°:
2θ (°), Rel. int., (hkl)
20.63, 14, 1 1 -2
29.33, 100, 0 2 2
34.00, 33, 0 4 0
36.13, 8, 5 1 -4
43.76, 11, 1 1 -4
48.85, 38, 4 4 -4
53.56, 7, 5 1 -6
58.00, 29, 0 6 2
59.44, 8, 9 1 -6
79.17, 7, 4 6 2

Crystal structure
```
data_Y5Tm11O24
_chemical_formula_sum 'Y10 Tm22 O48'
_space_group_name_H-M_alt 'C 1 2 1'
_space_group_IT_number 5
_cell_length_a 14.909
_cell_length_b 10.547
_cell_length_c 10.547
_cell_angle_alpha 90.00
_cell_angle_beta 134.97
_cell_angle_gamma 90.00
loop_
_space_group_symop_operation_xyz
'x,y,z'
'-x,y,-z'
'x+1/2,y+1/2,z'
'-x+1/2,y+1/2,-z'
loop_
_atom_site_label
_atom_site_type_symbol
_atom_site_fract_x
_atom_site_fract_y
_atom_site_fract_z
Y1 Y 0.000 0.000 0.000
Y2 Y 0.249 0.282 0.749
Y3 Y 0.249 0.783 0.749
Tm1 Tm 0.000 0.065 0.500
Tm2 Tm 0.000 0.499 0.000
Tm3 Tm 0.000 0.565 0.500
Tm4 Tm 0.033 0.283 0.283
Tm5 Tm 0.033 0.782 0.783
Tm6 Tm 0.249 0.532 0.531
Tm7 Tm 0.250 0.032 0.967
O1 O 0.107 0.413 0.508
O2 O 0.107 0.651 0.008
O3 O 0.107 0.913 0.707
O4 O 0.109 0.153 0.210
O5 O 0.118 0.682 0.476
O6 O 0.119 0.182 0.762
O7 O 0.119 0.381 0.977
O8 O 0.121 0.881 0.265
O9 O 0.150 0.139 0.520
O10 O 0.150 0.425 0.281
O11 O 0.151 0.639 0.782
O12 O 0.153 0.923 0.020
```

=====

No. 2
YTmO3: calculated powder XRD pattern (a wavelength of 1.5418 Å), based on the GGA-PBE geometry in the Materials Project.
No peak broadening, texture or thermal motion is included.

Largest 10 diffraction maxima, sorted by position, 15° ≤ 2θ ≤ 90°:
2θ (°), Rel. int., (hkl)
20.56, 15, 0 2 1
29.23, 100, 0 2 2
33.88, 32, 0 4 0
36.00, 8, 3 1 1
43.61, 11, 5 3 -1
48.67, 39, 4 4 -4
53.36, 7, 7 1 -1
57.78, 29, 0 6 2
59.21, 8, 7 3 -1
78.84, 8, 8 6 -6

Crystal structure
```
data_YTmO3
_chemical_formula_sum 'Y16 Tm16 O48'
_space_group_name_H-M_alt 'C 1 2 1'
_space_group_IT_number 5
_cell_length_a 14.966
_cell_length_b 10.585
_cell_length_c 10.583
_cell_angle_alpha 90.00
_cell_angle_beta 134.99
_cell_angle_gamma 90.00
loop_
_space_group_symop_operation_xyz
'x,y,z'
'-x,y,-z'
'x+1/2,y+1/2,z'
'-x+1/2,y+1/2,-z'
loop_
_atom_site_label
_atom_site_type_symbol
_atom_site_fract_x
_atom_site_fract_y
_atom_site_fract_z
Y1 Y 0.000 0.000 0.000
Y2 Y 0.000 0.499 0.000
Y3 Y 0.248 0.717 0.747
Y4 Y 0.249 0.217 0.748
Y5 Y 0.250 0.467 0.968
Tm1 Tm 0.000 0.434 0.500
Tm2 Tm 0.000 0.934 0.500
Tm3 Tm 0.032 0.717 0.781
Tm4 Tm 0.034 0.217 0.285
Tm5 Tm 0.250 0.467 0.467
O1 O 0.106 0.587 0.705
O2 O 0.108 0.086 0.508
O3 O 0.108 0.845 0.007
O4 O 0.109 0.347 0.211
O5 O 0.117 0.315 0.757
O6 O 0.119 0.121 0.977
O7 O 0.119 0.818 0.476
O8 O 0.121 0.618 0.265
O9 O 0.149 0.858 0.778
O10 O 0.151 0.360 0.520
O11 O 0.151 0.578 0.020
O12 O 0.153 0.076 0.285
```

=====

> What is the formula in the second record?

YTmO3